No. 1
This entry pairs a crystal structure of ThSi2NiPt2 with its simulated X-ray diffraction stick pattern. Radiation: a wavelength of 1.5418 Å. Structure: a DFT-relaxed cell (PBE, Alexandria).

Structural model:
```
data_ThSi2NiPt2
_space_group_name_H-M_alt 'I 4/m m m'
_space_group_IT_number 139
_space_group_name_Hall '-I 4 2'
_cell_length_a 3.990
_cell_length_b 3.990
_cell_length_c 14.257
_cell_angle_alpha 90.00
_cell_angle_beta 90.00
_cell_angle_gamma 90.00
loop_
_atom_site_label
_atom_site_type_symbol
_atom_site_fract_x
_atom_site_fract_y
_atom_site_fract_z
Th1 Th 0.000 0.000 0.000
Si1 Si 0.000 0.000 0.348
Ni1 Ni 0.000 0.000 0.500
Pt1 Pt 0.000 0.500 0.250
```

Largest 12 diffraction maxima, in order of rising 2θ, 2θ from 5° to 70°:
12.42°, I 9, hkl 0 0 2
23.15°, I 9, hkl 1 0 1
24.98°, I 51, hkl 0 0 4
29.23°, I 16, hkl 1 0 3
34.18°, I 100, hkl 1 1 2
38.82°, I 4, hkl 1 0 5
45.47°, I 28, hkl 2 0 0
50.20°, I 41, hkl 1 1 6
51.26°, I 9, hkl 0 0 8
52.57°, I 28, hkl 2 0 4
54.97°, I 6, hkl 2 1 3
66.26°, I 9, hkl 2 2 0

---

No. 2
This entry pairs a crystal structure of TmSi2Ni7Pt with its simulated X-ray diffraction stick pattern. Radiation: a wavelength of 1.5418 Å. Structure: a DFT-relaxed cell (PBE, Alexandria).

Structural model:
```
data_TmSi2Ni7Pt
_space_group_name_H-M_alt 'I -4 m 2'
_space_group_IT_number 119
_space_group_name_Hall 'I -4 -2'
_cell_length_a 3.734
_cell_length_b 3.734
_cell_length_c 27.388
_cell_angle_alpha 90.00
_cell_angle_beta 90.00
_cell_angle_gamma 90.00
loop_
_atom_site_label
_atom_site_type_symbol
_atom_site_fract_x
_atom_site_fract_y
_atom_site_fract_z
Tm1 Tm 0.000 0.000 0.000
Si1 Si 0.000 0.000 0.381
Ni1 Ni 0.000 0.000 0.301
Ni2 Ni 0.000 0.000 0.500
Ni3 Ni 0.000 0.500 0.073
Ni4 Ni 0.000 0.500 0.573
Pt1 Pt 0.000 0.500 0.250
```

Largest 12 diffraction maxima, in order of rising 2θ, 2θ from 5° to 70°:
6.45°, I 34, hkl 0 0 2
12.93°, I 75, hkl 0 0 4
24.05°, I 25, hkl 1 0 1
25.78°, I 55, hkl 1 0 3
28.94°, I 15, hkl 1 0 5
33.16°, I 20, hkl 1 0 7
39.43°, I 100, hkl 1 1 6
47.85°, I 39, hkl 1 1 10
48.77°, I 37, hkl 2 0 0
49.69°, I 10, hkl 1 0 13
50.68°, I 10, hkl 2 0 4
55.99°, I 15, hkl 2 1 3

---

No. 3
This entry pairs a crystal structure of YSi2Ni5Pt with its simulated X-ray diffraction stick pattern. Radiation: a wavelength of 1.5418 Å. Structure: a DFT-relaxed cell (PBE, Alexandria).

Structural model:
```
data_YSi2Ni5Pt
_space_group_name_H-M_alt 'P 4/m m m'
_space_group_IT_number 123
_space_group_name_Hall '-P 4 2'
_cell_length_a 3.740
_cell_length_b 3.740
_cell_length_c 8.837
_cell_angle_alpha 90.00
_cell_angle_beta 90.00
_cell_angle_gamma 90.00
loop_
_atom_site_label
_atom_site_type_symbol
_atom_site_fract_x
_atom_site_fract_y
_atom_site_fract_z
Y1 Y 0.000 0.000 0.000
Si1 Si 0.500 0.500 0.371
Ni1 Ni 0.000 0.500 0.234
Ni2 Ni 0.500 0.500 0.000
Pt1 Pt 0.000 0.000 0.500
```

Largest 12 diffraction maxima, in order of rising 2θ, 2θ from 5° to 70°:
23.79°, I 13, hkl 1 0 0
25.87°, I 13, hkl 1 0 1
31.34°, I 25, hkl 1 0 2
33.90°, I 4, hkl 1 1 0
38.92°, I 13, hkl 1 0 3
39.72°, I 100, hkl 1 1 2
40.85°, I 18, hkl 0 0 4
47.82°, I 12, hkl 1 0 4
48.70°, I 34, hkl 2 0 0
59.06°, I 9, hkl 2 1 2
64.02°, I 6, hkl 2 1 3
65.39°, I 17, hkl 2 0 4

---

No. 4
This entry pairs a crystal structure of YSi2Ni2Pt with its simulated X-ray diffraction stick pattern. Radiation: a wavelength of 1.5418 Å. Structure: a DFT-relaxed cell (PBE, Alexandria).

Structural model:
```
data_YSi2Ni2Pt
_space_group_name_H-M_alt 'P 4/m m m'
_space_group_IT_number 123
_space_group_name_Hall '-P 4 2'
_cell_length_a 4.543
_cell_length_b 4.543
_cell_length_c 5.407
_cell_angle_alpha 90.00
_cell_angle_beta 90.00
_cell_angle_gamma 90.00
loop_
_atom_site_label
_atom_site_type_symbol
_atom_site_fract_x
_atom_site_fract_y
_atom_site_fract_z
Y1 Y 0.000 0.000 0.000
Si1 Si 0.000 0.500 0.500
Ni1 Ni 0.500 0.500 0.263
Pt1 Pt 0.000 0.000 0.500
```

Largest 12 diffraction maxima, in order of rising 2θ, 2θ from 5° to 70°:
16.39°, I 37, hkl 0 0 1
19.54°, I 38, hkl 1 0 0
25.61°, I 14, hkl 1 0 1
27.77°, I 91, hkl 1 1 0
33.14°, I 10, hkl 0 0 2
38.76°, I 100, hkl 1 0 2
39.68°, I 61, hkl 2 0 0
43.20°, I 12, hkl 2 0 1
52.63°, I 11, hkl 2 0 2
56.68°, I 65, hkl 2 1 2
57.37°, I 20, hkl 2 2 0
64.91°, I 16, hkl 3 1 0

---

No. 5
This entry pairs a crystal structure of Sm2Ni2Pt15 with its simulated X-ray diffraction stick pattern. Radiation: a wavelength of 1.5418 Å. Structure: a DFT-relaxed cell (PBE, Alexandria).

Structural model:
```
data_Sm2Ni2Pt15
_space_group_name_H-M_alt 'R -3 m'
_space_group_IT_number 166
_space_group_name_Hall '-R 3 2"'
_cell_length_a 9.2192
_cell_length_b 9.2192
_cell_length_c 13.4441
_cell_angle_alpha 90.00
_cell_angle_beta 90.00
_cell_angle_gamma 120.00
loop_
_atom_site_label
_atom_site_type_symbol
_atom_site_fract_x
_atom_site_fract_y
_atom_site_fract_z
Sm1 Sm 0.0000 0.0000 0.1645
Ni1 Ni 0.0000 0.0000 0.4053
Pt1 Pt 0.0000 0.3077 0.5000
Pt2 Pt 0.0000 0.5000 0.0000
Pt3 Pt 0.0006 0.5003 0.6558
```

Largest 12 diffraction maxima, in order of rising 2θ, 2θ from 5° to 70°:
19.25°, I 41, hkl 1 1 0
33.68°, I 18, hkl 3 0 0
34.90°, I 9, hkl 0 2 4
39.08°, I 37, hkl 2 2 0
39.38°, I 100, hkl 0 3 3
40.24°, I 40, hkl 0 0 6
40.45°, I 9, hkl 2 0 5
44.19°, I 77, hkl 2 2 3
44.98°, I 16, hkl 1 1 6
57.34°, I 18, hkl 2 2 6
64.06°, I 20, hkl 3 3 3
68.17°, I 9, hkl 4 1 6

---

No. 6
This entry pairs a crystal structure of SmNiSn2Pt4 with its simulated X-ray diffraction stick pattern. Radiation: a wavelength of 1.5418 Å. Structure: a DFT-relaxed cell (PBE, Alexandria).

Structural model:
```
data_SmNiSn2Pt4
_space_group_name_H-M_alt 'R -3 m'
_space_group_IT_number 166
_space_group_name_Hall '-R 3 2"'
_cell_length_a 4.4714
_cell_length_b 4.4714
_cell_length_c 26.1047
_cell_angle_alpha 90.00
_cell_angle_beta 90.00
_cell_angle_gamma 120.00
loop_
_atom_site_label
_atom_site_type_symbol
_atom_site_fract_x
_atom_site_fract_y
_atom_site_fract_z
Sm1 Sm 0.0000 0.0000 0.0000
Ni1 Ni 0.0000 0.0000 0.5000
Sn1 Sn 0.0000 0.0000 0.2400
Pt1 Pt 0.0000 0.0000 0.1342
Pt2 Pt 0.0000 0.0000 0.4002
```

Largest 12 diffraction maxima, in order of rising 2θ, 2θ from 5° to 70°:
10.17°, I 15, hkl 0 0 3
26.77°, I 10, hkl 1 0 4
28.70°, I 21, hkl 0 1 5
33.36°, I 23, hkl 1 0 7
35.99°, I 71, hkl 0 1 8
40.34°, I 100, hkl 1 1 0
44.79°, I 29, hkl 0 1 11
53.31°, I 6, hkl 0 2 7
55.16°, I 21, hkl 2 0 8
61.84°, I 11, hkl 2 0 11
68.30°, I 12, hkl 1 1 15
68.92°, I 6, hkl 2 1 7